(1)
The following is a computed X-ray diffraction stick pattern of Si4Br. It was derived from a crystal structure in Alexandria, relaxed with GGA-PBE, using copper Kα.

Crystal structure
```
data_Si4Br
_chemical_formula_sum 'Si8 Br2'
_symmetry_space_group_name_H-M 'I m -3 m'
_symmetry_Int_Tables_number 229
_symmetry_space_group_name_Hall '-I 4 2 3'
_cell_length_a 6.0158
_cell_length_b 6.0158
_cell_length_c 6.0158
_cell_angle_alpha 90.00
_cell_angle_beta 90.00
_cell_angle_gamma 90.00
loop_
_atom_site_label
_atom_site_fract_x
_atom_site_fract_y
_atom_site_fract_z
_atom_site_occupancy
Si1 0.2500 0.2500 0.2500 1
Br1 0.0000 0.0000 0.0000 1
```

Peak list (10 most intense, 15° ≤ 2θ ≤ 90°, in order of rising 2θ)
- 2θ 20.9, 4.254 Å, intensity 100, hkl 1 1 0
- 2θ 36.6, 2.456 Å, intensity 46, hkl 2 1 1
- 2θ 42.5, 2.127 Å, intensity 85, hkl 2 2 0
- 2θ 47.8, 1.902 Å, intensity 21, hkl 3 1 0
- 2θ 57.3, 1.608 Å, intensity 24, hkl 3 2 1
- 2θ 61.7, 1.504 Å, intensity 14, hkl 4 0 0
- 2θ 65.9, 1.418 Å, intensity 12, hkl 4 1 1
- 2θ 77.8, 1.228 Å, intensity 29, hkl 4 2 2
- 2θ 81.6, 1.180 Å, intensity 13, hkl 5 1 0
- 2θ 89.2, 1.098 Å, intensity 7, hkl 5 2 1


(2)
The following is a computed X-ray diffraction stick pattern of Si4Br3. It was derived from a crystal structure in Alexandria, relaxed with GGA-PBE, using copper Kα.

Crystal structure
```
data_Si4Br3
_chemical_formula_sum 'Si8 Br6'
_symmetry_space_group_name_H-M 'I 4/m m m'
_symmetry_Int_Tables_number 139
_symmetry_space_group_name_Hall '-I 4 2'
_cell_length_a 3.6049
_cell_length_b 3.6049
_cell_length_c 27.4196
_cell_angle_alpha 90.00
_cell_angle_beta 90.00
_cell_angle_gamma 90.00
loop_
_atom_site_label
_atom_site_fract_x
_atom_site_fract_y
_atom_site_fract_z
_atom_site_occupancy
Si1 0.0000 0.0000 0.0909 1
Si2 0.0000 0.0000 0.3966 1
Br1 0.0000 0.0000 0.0000 1
Br2 0.0000 0.0000 0.3135 1
```

Peak list (10 most intense, 15° ≤ 2θ ≤ 90°, in order of rising 2θ)
- 2θ 26.6, 3.353 Å, intensity 100, hkl 1 0 3
- 2θ 32.7, 2.742 Å, intensity 20, hkl 0 0 10
- 2θ 33.8, 2.653 Å, intensity 10, hkl 1 0 7
- 2θ 35.2, 2.549 Å, intensity 50, hkl 1 1 0
- 2θ 48.8, 1.867 Å, intensity 25, hkl 1 1 10
- 2θ 50.1, 1.820 Å, intensity 22, hkl 1 0 13
- 2θ 50.6, 1.802 Å, intensity 17, hkl 2 0 0
- 2θ 58.1, 1.588 Å, intensity 21, hkl 2 1 3
- 2θ 61.6, 1.506 Å, intensity 12, hkl 2 0 10
- 2θ 74.0, 1.281 Å, intensity 14, hkl 2 1 13


(3)
The following is a computed X-ray diffraction stick pattern of Si2Br. It was derived from a crystal structure in Alexandria, relaxed with GGA-PBE, using copper Kα.

Crystal structure
```
data_Si2Br
_chemical_formula_sum 'Si8 Br4'
_symmetry_space_group_name_H-M 'C 1 2/m 1'
_symmetry_Int_Tables_number 12
_cell_length_a 6.7779
_cell_length_b 3.9153
_cell_length_c 11.9374
_cell_angle_alpha 90.00
_cell_angle_beta 92.94
_cell_angle_gamma 90.00
loop_
_symmetry_equiv_pos_as_xyz
'x,y,z'
'-x,-y,-z'
'-x,y,-z'
'x,-y,z'
'x+1/2,y+1/2,z'
'-x+1/2,-y+1/2,-z'
'-x+1/2,y+1/2,-z'
'x+1/2,-y+1/2,z'
loop_
_atom_site_label
_atom_site_fract_x
_atom_site_fract_y
_atom_site_fract_z
_atom_site_occupancy
Si1 0.0097 0.0000 0.0994 1
Si2 0.1820 0.5000 0.1626 1
Br1 0.1973 0.5000 0.3510 1
```

Peak list (10 most intense, 15° ≤ 2θ ≤ 90°, in order of rising 2θ)
- 2θ 26.3, 3.385 Å, intensity 13, hkl 2 0 0
- 2θ 27.0, 3.301 Å, intensity 49, hkl 2 0 -1
- 2θ 27.2, 3.282 Å, intensity 20, hkl 1 1 -1
- 2θ 27.5, 3.238 Å, intensity 100, hkl 1 1 1
- 2θ 30.0, 2.980 Å, intensity 66, hkl 0 0 4
- 2θ 46.4, 1.956 Å, intensity 42, hkl 0 2 0
- 2θ 47.2, 1.927 Å, intensity 29, hkl 1 1 5
- 2θ 52.8, 1.734 Å, intensity 12, hkl 1 1 -6
- 2θ 54.5, 1.684 Å, intensity 13, hkl 2 2 -1
- 2θ 57.5, 1.602 Å, intensity 12, hkl 3 1 4


(4)
The following is a computed X-ray diffraction stick pattern of Si3Br5. It was derived from a crystal structure in Alexandria, relaxed with GGA-PBE, using copper Kα.

Crystal structure
```
data_Si3Br5
_chemical_formula_sum 'Si6 Br10'
_symmetry_space_group_name_H-M 'P 1 m 1'
_symmetry_Int_Tables_number 6
_cell_length_a 11.4229
_cell_length_b 6.5737
_cell_length_c 11.7579
_cell_angle_alpha 90.00
_cell_angle_beta 113.80
_cell_angle_gamma 90.00
loop_
_symmetry_equiv_pos_as_xyz
'x,y,z'
'x,-y,z'
loop_
_atom_site_label
_atom_site_fract_x
_atom_site_fract_y
_atom_site_fract_z
_atom_site_occupancy
Si1 0.0000 0.0000 0.0000 1
Si2 0.0179 0.5000 0.9709 1
Si3 0.5235 0.0000 0.0806 1
Si4 0.5794 0.5000 0.1375 1
Si5 0.6402 0.5000 0.6581 1
Si6 0.6683 0.0000 0.6397 1
Br1 0.1342 0.5000 0.8544 1
Br2 0.3524 0.0000 0.8942 1
Br3 0.4486 0.2501 0.1979 1
Br4 0.4942 0.5000 0.7431 1
Br5 0.7631 0.5000 0.3131 1
Br6 0.7807 0.0000 0.5195 1
Br7 0.8240 0.2500 0.8249 1
Br8 0.9191 0.0000 0.1472 1
```

Peak list (10 most intense, 15° ≤ 2θ ≤ 90°, in order of rising 2θ)
- 2θ 15.2, 5.836 Å, intensity 40, hkl 1 0 -2
- 2θ 15.6, 5.689 Å, intensity 43, hkl 2 0 -1
- 2θ 20.3, 4.364 Å, intensity 68, hkl 1 1 -2
- 2θ 20.6, 4.302 Å, intensity 73, hkl 2 1 -1
- 2θ 21.4, 4.159 Å, intensity 58, hkl 0 1 2
- 2θ 21.7, 4.092 Å, intensity 49, hkl 2 0 1
- 2θ 30.6, 2.917 Å, intensity 100, hkl 1 2 1
- 2θ 31.4, 2.846 Å, intensity 30, hkl 2 2 -1
- 2θ 37.1, 2.426 Å, intensity 37, hkl 4 0 -4
- 2θ 48.5, 1.877 Å, intensity 29, hkl 3 2 -5